Structure and computed X-ray diffraction stick pattern of V2Bi8O17 (a crystal structure in Alexandria, relaxed with GGA+U; Cu Kα (weighted mean of Kα1 and Kα2)).

Atomic structure:
abc: 4.209 4.209 32.124
angles: 95.04 95.04 52.25
Fractional positions:
V: 0.000 0.000 0.000
V: 0.608 0.608 0.824
Bi: 0.066 0.066 0.734
Bi: 0.265 0.265 0.302
Bi: 0.304 0.304 0.634
Bi: 0.438 0.438 0.911
Bi: 0.495 0.495 0.201
Bi: 0.668 0.668 0.518
Bi: 0.837 0.837 0.087
Bi: 0.897 0.897 0.417
O: 0.062 0.062 0.942
O: 0.085 0.085 0.810
O: 0.095 0.095 0.055
O: 0.171 0.171 0.203
O: 0.261 0.261 0.554
O: 0.320 0.320 0.703
O: 0.396 0.396 0.835
O: 0.448 0.448 0.121
O: 0.478 0.478 0.987
O: 0.510 0.510 0.270
O: 0.573 0.573 0.420
O: 0.679 0.679 0.767
O: 0.701 0.701 0.879
O: 0.788 0.788 0.013
O: 0.857 0.857 0.338
O: 0.912 0.912 0.487
O: 0.980 0.980 0.636

Most intense lines, 10° ≤ 2θ ≤ 80°, sorted by position:
- 25.1°, rel. 88
- 27.9°, rel. 24
- 28.5°, rel. 100
- 30.4°, rel. 20
- 31.1°, rel. 22
- 32.6°, rel. 35
- 43.4°, rel. 31
- 44.5°, rel. 20
- 49.2°, rel. 18
- 56.0°, rel. 21